Starting from a structure optimized by DFT (PBE), the XRD peak list of LaTb7Y5 was computed for a wavelength of 1.5418 Å.
No peak broadening, texture or thermal motion is included.

```
data_LaTb7Y5
_cell_length_a 6.7141
_cell_length_b 11.3482
_cell_length_c 11.6133
_cell_angle_alpha 90.00
_cell_angle_beta 90.00
_cell_angle_gamma 90.00
_space_group_name_H-M_alt 'I m m 2'
_space_group_IT_number 44
loop_
_space_group_symop_operation_xyz
'x,y,z'
'-x,-y,z'
'-x,y,z'
'x,-y,z'
'x+1/2,y+1/2,z+1/2'
'-x+1/2,-y+1/2,z+1/2'
'-x+1/2,y+1/2,z+1/2'
'x+1/2,-y+1/2,z+1/2'
loop_
_atom_site_label
_atom_site_fract_x
_atom_site_fract_y
_atom_site_fract_z
La1 0.0000 0.0000 0.0000
Tb1 0.0000 0.0000 0.3137
Tb2 0.0000 0.0000 0.6015
Tb3 0.0000 0.2969 0.5292
Tb4 0.0000 0.3438 0.0274
Tb5 0.0000 0.5000 0.3198
Y1 0.0000 0.5000 0.7491
Y2 0.2384 0.2297 0.7801
```

The 6 most intense peaks (5 to 70 degrees two-theta), by intensity:
hkl 0 0 4, 2θ 30.78, d = 2.905 Å, I = 100.0; hkl 1 3 2, 2θ 31.21, d = 2.866 Å, I = 90.1; hkl 2 2 2, 2θ 34.68, d = 2.586 Å, I = 79.4; hkl 2 2 0, 2θ 30.97, d = 2.888 Å, I = 75.9; hkl 2 0 0, 2θ 26.56, d = 3.356 Å, I = 65.2; hkl 1 3 0, 2θ 27.06, d = 3.296 Å, I = 48.0